Entry 1:
Diffraction record for Bi3NF6. The X-ray diffraction stick pattern is computed, not measured: it uses a crystal structure in Alexandria, relaxed with PBE and Cu Kα.
Lines closer than 0.1° are merged.

Unit cell a=5.8210 b=5.7853 c=18.8629 alpha=90.00 beta=90.00 gamma=90.00
Space group Pbcm (No. 57)
Unique sites:
Bi: 0.2039 0.0134 0.0687 (multiplicity 8)
Bi: 0.2812 0.0307 0.7500 (multiplicity 4)
N: 0.0166 0.7500 0.0000 (multiplicity 4)
F: 0.0940 0.1231 0.2500 (multiplicity 4)
F: 0.1235 0.0643 0.6292 (multiplicity 8)
F: 0.4606 0.7405 0.6786 (multiplicity 8)
F: 0.4884 0.2500 0.0000 (multiplicity 4)

The 10 most intense peaks (10° ≤ 2θ ≤ 80°), in order of rising 2θ:
2theta, d/Å, intensity, hkl
25.93, 3.436, 100.0, 1 1 3
28.39, 3.144, 16.4, 0 0 6
30.72, 2.911, 11.3, 2 0 0
30.91, 2.893, 16.2, 0 2 0
42.32, 2.136, 13.7, 2 0 6
42.47, 2.129, 16.4, 0 2 6
44.14, 2.052, 13.8, 2 2 0
48.79, 1.867, 14.1, 1 1 9
51.78, 1.766, 10.6, 3 1 3
52.03, 1.758, 14.9, 1 3 3

Entry 2:
Diffraction record for Bi2NF. The X-ray diffraction stick pattern is computed, not measured: it uses a crystal structure in Alexandria, relaxed with PBE and Cu Kα.
Lines closer than 0.1° are merged.

Unit cell a=5.2485 b=5.2485 c=13.3007 alpha=90.00 beta=90.00 gamma=90.00
Space group I-42d (No. 122)
Unique sites:
Bi: 0.1932 0.2500 0.1250 (multiplicity 8)
N: 0.0000 0.0000 0.0000 (multiplicity 4)
F: 0.0000 0.0000 0.5000 (multiplicity 4)

The 10 most intense peaks (10° ≤ 2θ ≤ 80°), in order of rising 2θ:
2theta, d/Å, intensity, hkl
26.81, 3.325, 25.1, 0 0 4
27.52, 3.241, 100.0, 1 1 2
34.17, 2.624, 20.7, 2 0 0
38.97, 2.311, 13.1, 2 1 1
43.63, 2.074, 9.1, 2 1 3
43.95, 2.060, 30.0, 2 0 4
47.79, 1.903, 23.0, 1 1 6
49.10, 1.856, 8.2, 2 2 0
57.21, 1.610, 15.6, 3 1 2
70.94, 1.329, 8.4, 3 1 6

Entry 3:
Diffraction record for Sr6Bi2NF. The X-ray diffraction stick pattern is computed, not measured: it uses a crystal structure in Alexandria, relaxed with PBE and Cu Kα.
Lines closer than 0.1° are merged.

Unit cell a=7.4958 b=7.4958 c=10.6733 alpha=90.00 beta=90.00 gamma=90.00
Space group I4/mmm (No. 139)
Unique sites:
Sr: 0.0000 0.0000 0.2408 (multiplicity 4)
Sr: 0.2411 0.2411 0.0000 (multiplicity 8)
Bi: 0.0000 0.5000 0.2500 (multiplicity 4)
N: 0.0000 0.0000 0.0000 (multiplicity 2)
F: 0.0000 0.0000 0.5000 (multiplicity 2)

The 10 most intense peaks (10° ≤ 2θ ≤ 80°), in order of rising 2θ:
2theta, d/Å, intensity, hkl
23.69, 3.756, 22.3, 2 0 0
29.11, 3.067, 100.0, 2 0 2
33.59, 2.668, 19.9, 0 0 4
33.82, 2.650, 39.1, 2 2 0
48.41, 1.880, 28.0, 2 2 4
48.58, 1.874, 13.9, 4 0 0
57.33, 1.607, 14.9, 2 0 6
57.64, 1.599, 29.4, 4 2 2
60.36, 1.534, 14.3, 4 0 4
78.39, 1.220, 12.1, 4 2 6

Entry 4:
Diffraction record for NaBiF5. The X-ray diffraction stick pattern is computed, not measured: it uses a crystal structure in Alexandria, relaxed with PBE and Cu Kα.
Lines closer than 0.1° are merged.

Unit cell a=9.6667 b=7.0806 c=8.7056 alpha=90.00 beta=116.75 gamma=90.00
Space group C2/c (No. 15)
Unique sites:
Na: 0.0000 0.0029 0.2500 (multiplicity 4)
Bi: 0.0000 0.5000 0.0000 (multiplicity 4)
F: 0.0000 0.4419 0.7500 (multiplicity 4)
F: 0.0270 0.2037 0.4754 (multiplicity 8)
F: 0.2437 0.4591 0.1286 (multiplicity 8)

The 10 most intense peaks (10° ≤ 2θ ≤ 80°), in order of rising 2θ:
2theta, d/Å, intensity, hkl
16.19, 5.475, 100.0, 1 1 0
20.58, 4.316, 50.6, 2 0 0
22.88, 3.887, 49.5, 2 0 -2
24.00, 3.708, 65.5, 1 1 -2
25.15, 3.540, 30.9, 0 2 0
31.82, 2.813, 29.8, 3 1 -2
34.26, 2.617, 17.9, 2 2 -2
43.62, 2.075, 17.9, 1 3 -2
44.81, 2.022, 17.0, 3 1 -4
48.83, 1.865, 20.1, 5 1 -2

Entry 5:
Diffraction record for Na2BiF6. The X-ray diffraction stick pattern is computed, not measured: it uses a crystal structure in Alexandria, relaxed with PBE and Cu Kα.
Lines closer than 0.1° are merged.

Unit cell a=5.2684 b=5.2684 c=10.6431 alpha=90.00 beta=90.00 gamma=90.00
Space group P4_2/mnm (No. 136)
Unique sites:
Na: 0.0000 0.0000 0.1650 (multiplicity 4)
Bi: 0.0000 0.0000 0.5000 (multiplicity 2)
F: 0.1907 0.1907 0.3458 (multiplicity 8)
F: 0.2084 0.2084 0.0000 (multiplicity 4)

The 10 most intense peaks (10° ≤ 2θ ≤ 80°), in order of rising 2θ:
2theta, d/Å, intensity, hkl
16.66, 5.322, 35.2, 0 0 2
18.79, 4.722, 100.0, 1 0 1
23.89, 3.725, 60.1, 1 1 0
29.26, 3.052, 32.8, 1 1 2
30.37, 2.943, 42.6, 1 0 3
38.13, 2.360, 16.8, 2 0 2
39.16, 2.300, 29.9, 2 1 1
46.26, 1.963, 46.3, 2 1 3
48.90, 1.863, 12.7, 2 2 0
58.66, 1.574, 16.2, 3 0 3

Entry 6:
Diffraction record for Na2Sr4Bi3F2. The X-ray diffraction stick pattern is computed, not measured: it uses a crystal structure in Alexandria, relaxed with PBE and Cu Kα.
Lines closer than 0.1° are merged.

Unit cell a=5.1819 b=5.1819 c=26.6751 alpha=90.00 beta=90.00 gamma=90.00
Space group I4/mmm (No. 139)
Unique sites:
Na: 0.0000 0.0000 0.2080 (multiplicity 4)
Sr: 0.0000 0.5000 0.0864 (multiplicity 8)
Bi: 0.0000 0.0000 0.3278 (multiplicity 4)
Bi: 0.0000 0.0000 0.5000 (multiplicity 2)
F: 0.0000 0.0000 0.0880 (multiplicity 4)

The 10 most intense peaks (10° ≤ 2θ ≤ 80°), in order of rising 2θ:
2theta, d/Å, intensity, hkl
17.43, 5.087, 59.3, 1 0 1
23.94, 3.717, 49.8, 1 0 5
29.09, 3.070, 23.2, 1 0 7
31.64, 2.828, 100.0, 1 1 6
34.62, 2.591, 52.3, 2 0 0
39.01, 2.309, 17.1, 2 1 1
42.53, 2.126, 22.6, 2 1 5
49.77, 1.832, 18.7, 2 2 0
54.38, 1.687, 21.6, 2 0 12
60.19, 1.537, 35.2, 3 1 6

Entry 7:
Diffraction record for Nd2BiO4F. The X-ray diffraction stick pattern is computed, not measured: it uses a crystal structure in Alexandria, relaxed with PBE and Cu Kα.
Lines closer than 0.1° are merged.

Unit cell a=11.1652 b=3.5164 c=6.7410 alpha=90.00 beta=112.56 gamma=90.00
Space group C2/m (No. 12)
Unique sites:
Nd: 0.1902 0.0000 0.1967 (multiplicity 4)
Bi: 0.0000 0.0000 0.5000 (multiplicity 2)
O: 0.1334 0.5000 0.4357 (multiplicity 4)
O: 0.1797 0.0000 0.8298 (multiplicity 4)
F: 0.0000 0.5000 0.0000 (multiplicity 2)

The 10 most intense peaks (10° ≤ 2θ ≤ 80°), in order of rising 2θ:
2theta, d/Å, intensity, hkl
26.34, 3.384, 70.8, 2 0 1
26.79, 3.328, 56.4, 1 1 0
27.20, 3.279, 77.0, 2 0 -2
32.05, 2.793, 100.0, 4 0 -1
35.39, 2.536, 76.0, 3 1 -1
40.02, 2.253, 33.7, 3 1 -2
43.62, 2.075, 21.7, 0 0 3
48.76, 1.868, 32.6, 1 1 -3
51.37, 1.779, 30.3, 5 1 0
53.47, 1.714, 25.4, 3 1 2